# 1
For ScPa2O6, a structure optimized by DFT (GGA-PBE) gives the simulated PXRD pattern in this record (Cu Kα (weighted mean of Kα1 and Kα2)).
No peak broadening, texture or thermal motion is included.

Largest 10 diffraction maxima, in order of rising 2θ, 2θ from 5° to 70°:
| two_theta | I/Imax | hkl |
| --- | --- | --- |
| 18.9 | 39 | 0 0 2 |
| 19.2 | 51 | 1 0 1 |
| 22.8 | 100 | 1 1 0 |
| 29.8 | 86 | 1 1 2 |
| 31.1 | 28 | 0 2 0 |
| 32.6 | 40 | 0 1 3 |
| 33.3 | 31 | 1 0 3 |
| 46.2 | 26 | 1 2 3 |
| 46.6 | 27 | 2 2 0 |
| 47.7 | 42 | 2 1 3 |

Structural model:
```
data_ScPa2O6
_cell_length_a 5.2977
_cell_length_b 5.7525
_cell_length_c 9.3838
_cell_angle_alpha 90.00
_cell_angle_beta 90.00
_cell_angle_gamma 90.00
_symmetry_space_group_name_H-M 'P n n m'
_symmetry_Int_Tables_number 58
loop_
_symmetry_equiv_pos_as_xyz
'x,y,z'
'-x,-y,-z'
'-x,-y,z'
'x,y,-z'
'x+1/2,-y+1/2,-z+1/2'
'-x+1/2,y+1/2,z+1/2'
'-x+1/2,y+1/2,-z+1/2'
'x+1/2,-y+1/2,z+1/2'
loop_
_atom_site_label
_atom_site_type_symbol
_atom_site_fract_x
_atom_site_fract_y
_atom_site_fract_z
Sc1 Sc 0.0000 0.0000 0.0000
Pa1 Pa 0.0000 0.5000 0.1914
O1 O 0.1738 0.3293 0.0000
O2 O 0.2164 0.8365 0.1667
```

---

# 2
For LiPdPb3, a structure optimized by DFT (GGA-PBE) gives the simulated PXRD pattern in this record (Cu Kα (weighted mean of Kα1 and Kα2)).
No peak broadening, texture or thermal motion is included.

Largest 10 diffraction maxima, in order of rising 2θ, 2θ from 5° to 70°:
| two_theta | I/Imax | hkl |
| --- | --- | --- |
| 21.1 | 36 | 0 2 1 |
| 25.1 | 53 | 0 0 2 |
| 28.5 | 35 | 0 3 1 |
| 30.5 | 36 | 0 2 2 |
| 32.2 | 100 | 1 2 -1 |
| 34.3 | 51 | 0 4 0 |
| 37.0 | 97 | 1 2 1 |
| 41.6 | 37 | 1 0 -3 |
| 41.9 | 31 | 1 3 -2 |
| 55.0 | 25 | 1 4 -3 |

Structural model:
```
data_LiPdPb3
_cell_length_a 3.3733
_cell_length_b 10.4672
_cell_length_c 7.2807
_cell_angle_alpha 90.00
_cell_angle_beta 103.38
_cell_angle_gamma 90.00
_symmetry_space_group_name_H-M 'P 1 21/m 1'
_symmetry_Int_Tables_number 11
loop_
_symmetry_equiv_pos_as_xyz
'x,y,z'
'-x,-y,-z'
'-x,y+1/2,-z'
'x,-y+1/2,z'
loop_
_atom_site_label
_atom_site_type_symbol
_atom_site_fract_x
_atom_site_fract_y
_atom_site_fract_z
Li1 Li 0.0052 0.2500 0.0372
Pd1 Pd 0.3462 0.2500 0.7276
Pb1 Pb 0.1387 0.5258 0.2334
Pb2 Pb 0.3130 0.7500 0.6041
```

---

# 3
For Ac3CdRe2N8, a structure optimized by DFT (GGA-PBE) gives the simulated PXRD pattern in this record (Cu Kα (weighted mean of Kα1 and Kα2)).
No peak broadening, texture or thermal motion is included.

Largest 10 diffraction maxima, in order of rising 2θ, 2θ from 5° to 70°:
| two_theta | I/Imax | hkl |
| --- | --- | --- |
| 20.9 | 8 | 1 0 1 |
| 28.9 | 99 | 0 1 2 |
| 30.5 | 100 | 1 1 0 |
| 42.5 | 42 | 2 0 2 |
| 50.3 | 23 | 1 0 4 |
| 53.2 | 38 | 1 2 2 |
| 54.1 | 20 | 3 0 0 |
| 60.0 | 17 | 0 2 4 |
| 63.4 | 15 | 2 2 0 |
| 68.7 | 17 | 2 1 4 |

Structural model:
```
data_Ac3CdRe2N8
_cell_length_a 5.8709
_cell_length_b 5.8709
_cell_length_c 7.7627
_cell_angle_alpha 90.00
_cell_angle_beta 90.00
_cell_angle_gamma 120.00
_symmetry_space_group_name_H-M 'P -3 m 1'
_symmetry_Int_Tables_number 164
_symmetry_space_group_name_Hall '-P 3 2"'
loop_
_atom_site_label
_atom_site_type_symbol
_atom_site_fract_x
_atom_site_fract_y
_atom_site_fract_z
Ac1 Ac 0.0000 0.0000 0.0000
Ac2 Ac 0.3333 0.6667 0.6607
Cd1 Cd 0.0000 0.0000 0.5000
Re1 Re 0.3333 0.6667 0.1978
N1 N 0.1661 0.3322 0.2872
N2 N 0.3333 0.6667 0.9629
```

---

Repeat the first record exactly.
For ScPa2O6, a structure optimized by DFT (GGA-PBE) gives the simulated PXRD pattern in this record (Cu Kα (weighted mean of Kα1 and Kα2)).
No peak broadening, texture or thermal motion is included.

Largest 10 diffraction maxima, in order of rising 2θ, 2θ from 5° to 70°:
| two_theta | I/Imax | hkl |
| --- | --- | --- |
| 18.9 | 39 | 0 0 2 |
| 19.2 | 51 | 1 0 1 |
| 22.8 | 100 | 1 1 0 |
| 29.8 | 86 | 1 1 2 |
| 31.1 | 28 | 0 2 0 |
| 32.6 | 40 | 0 1 3 |
| 33.3 | 31 | 1 0 3 |
| 46.2 | 26 | 1 2 3 |
| 46.6 | 27 | 2 2 0 |
| 47.7 | 42 | 2 1 3 |

Structural model:
```
data_ScPa2O6
_cell_length_a 5.2977
_cell_length_b 5.7525
_cell_length_c 9.3838
_cell_angle_alpha 90.00
_cell_angle_beta 90.00
_cell_angle_gamma 90.00
_symmetry_space_group_name_H-M 'P n n m'
_symmetry_Int_Tables_number 58
loop_
_symmetry_equiv_pos_as_xyz
'x,y,z'
'-x,-y,-z'
'-x,-y,z'
'x,y,-z'
'x+1/2,-y+1/2,-z+1/2'
'-x+1/2,y+1/2,z+1/2'
'-x+1/2,y+1/2,-z+1/2'
'x+1/2,-y+1/2,z+1/2'
loop_
_atom_site_label
_atom_site_type_symbol
_atom_site_fract_x
_atom_site_fract_y
_atom_site_fract_z
Sc1 Sc 0.0000 0.0000 0.0000
Pa1 Pa 0.0000 0.5000 0.1914
O1 O 0.1738 0.3293 0.0000
O2 O 0.2164 0.8365 0.1667
```

---

Q: Which formula does entry 3 have?
A: Ac3CdRe2N8